Simulated powder X-ray diffraction pattern of La2MnAgO5 for CuKα, from a DFT-relaxed cell (PBE+U, Alexandria).
Peak positions follow from Bragg's law for the DFT cell and can differ from measured ones.

Main lines, low angle first (2θ from 10° to 90°):
| Position (°2θ) | I/Imax |
| --- | --- |
| 28.86 | 20 |
| 30.13 | 100 |
| 31.00 | 33 |
| 32.85 | 55 |
| 36.75 | 24 |
| 41.27 | 19 |
| 42.86 | 39 |
| 48.82 | 21 |
| 54.60 | 18 |
| 57.18 | 18 |

Structure:
Unit cell a=6.9171 b=6.9171 c=5.7698 alpha=90.00 beta=90.00 gamma=90.00
Fractional coordinates of all 18 atoms:
La (0.1806, 0.3194, 0.0000)
La (0.3194, 0.8194, 0.0000)
La (0.6806, 0.1806, 0.0000)
La (0.8194, 0.6806, 0.0000)
Mn (0.0000, 0.5000, 0.5000)
Mn (0.5000, 0.0000, 0.5000)
Ag (0.0000, 0.0000, 0.5000)
Ag (0.5000, 0.5000, 0.5000)
O (0.0000, 0.0000, 0.0000)
O (0.1324, 0.6324, 0.2593)
O (0.1324, 0.6324, 0.7407)
O (0.3676, 0.1324, 0.2593)
O (0.3676, 0.1324, 0.7407)
O (0.5000, 0.5000, 0.0000)
O (0.6324, 0.8676, 0.2593)
O (0.6324, 0.8676, 0.7407)
O (0.8676, 0.3676, 0.2593)
O (0.8676, 0.3676, 0.7407)